[1]
Diffraction record for CaMnAs. The powder diffractogram is calculated, not measured: it uses DFT lattice parameters and positions (GGA-PBE) and CuKα.
No peak broadening, texture or thermal motion is included.

Structural model:
```
data_CaMnAs
_symmetry_space_group_name_H-M 'P 1'
_symmetry_Int_Tables_number 1
_cell_length_a 3.938
_cell_length_b 3.938
_cell_length_c 7.486
_cell_angle_alpha 90.00
_cell_angle_beta 90.00
_cell_angle_gamma 90.00
loop_
_symmetry_equiv_pos_as_xyz
'x,y,z'
loop_
_atom_site_label
_atom_site_type_symbol
_atom_site_fract_x
_atom_site_fract_y
_atom_site_fract_z
Ca1 Ca 0.250 0.250 0.169
Ca2 Ca 0.750 0.750 0.831
Mn1 Mn 0.250 0.750 0.500
Mn2 Mn 0.750 0.250 0.500
As1 As 0.250 0.250 0.703
As2 As 0.750 0.750 0.297
```

Peak list (6 most intense, 10° ≤ 2θ ≤ 90°, by angle)
| 2θ (°) | I_rel |
| --- | --- |
| 11.82 | 86.7 |
| 33.02 | 53.8 |
| 40.37 | 100.0 |
| 46.10 | 50.5 |
| 54.27 | 23.6 |
| 81.45 | 23.1 |

---

[2]
Diffraction record for BSO4. The powder diffractogram is calculated, not measured: it uses DFT lattice parameters and positions (GGA-PBE) and CuKα.
No peak broadening, texture or thermal motion is included.

Structural model:
```
data_BSO4
_symmetry_space_group_name_H-M 'P 1'
_symmetry_Int_Tables_number 1
_cell_length_a 4.576
_cell_length_b 4.576
_cell_length_c 4.576
_cell_angle_alpha 118.29
_cell_angle_beta 118.29
_cell_angle_gamma 92.99
loop_
_symmetry_equiv_pos_as_xyz
'x,y,z'
loop_
_atom_site_label
_atom_site_type_symbol
_atom_site_fract_x
_atom_site_fract_y
_atom_site_fract_z
B1 B 0.000 0.000 0.000
S1 S 0.750 0.250 0.500
O1 O 0.018 0.651 0.929
O2 O 0.349 0.279 0.367
O3 O 0.721 0.088 0.071
O4 O 0.912 0.982 0.633
```

Peak list (6 most intense, 10° ≤ 2θ ≤ 90°, by angle)
| 2θ (°) | I_rel |
| --- | --- |
| 23.64 | 100.0 |
| 39.44 | 36.2 |
| 45.55 | 16.2 |
| 62.57 | 15.5 |
| 72.24 | 6.4 |
| 74.42 | 7.3 |

---

[3]
Diffraction record for CeZnMo. The powder diffractogram is calculated, not measured: it uses DFT lattice parameters and positions (GGA-PBE) and CuKα.
No peak broadening, texture or thermal motion is included.

Structural model:
```
data_CeZnMo
_symmetry_space_group_name_H-M 'P 1'
_symmetry_Int_Tables_number 1
_cell_length_a 7.995
_cell_length_b 7.995
_cell_length_c 7.995
_cell_angle_alpha 33.04
_cell_angle_beta 33.04
_cell_angle_gamma 33.04
loop_
_symmetry_equiv_pos_as_xyz
'x,y,z'
loop_
_atom_site_label
_atom_site_type_symbol
_atom_site_fract_x
_atom_site_fract_y
_atom_site_fract_z
Ce1 Ce 0.081 0.081 0.081
Ce2 Ce 0.919 0.919 0.919
Zn1 Zn 0.325 0.325 0.325
Zn2 Zn 0.675 0.675 0.675
Mo1 Mo 0.183 0.183 0.183
Mo2 Mo 0.817 0.817 0.817
```

Peak list (6 most intense, 10° ≤ 2θ ≤ 90°, by angle)
| 2θ (°) | I_rel |
| --- | --- |
| 22.92 | 73.8 |
| 27.59 | 24.0 |
| 35.92 | 35.4 |
| 39.18 | 62.3 |
| 39.64 | 100.0 |
| 64.11 | 24.6 |

---

[4]
Diffraction record for TbSm2Y6. The powder diffractogram is calculated, not measured: it uses DFT lattice parameters and positions (GGA-PBE) and CuKα.
No peak broadening, texture or thermal motion is included.

Structural model:
```
data_TbSm2Y6
_symmetry_space_group_name_H-M 'P 1'
_symmetry_Int_Tables_number 1
_cell_length_a 10.504
_cell_length_b 10.504
_cell_length_c 10.504
_cell_angle_alpha 124.69
_cell_angle_beta 69.46
_cell_angle_gamma 141.43
loop_
_symmetry_equiv_pos_as_xyz
'x,y,z'
loop_
_atom_site_label
_atom_site_type_symbol
_atom_site_fract_x
_atom_site_fract_y
_atom_site_fract_z
Tb1 Tb 0.250 0.250 0.000
Tb2 Tb 0.750 0.750 0.000
Sm1 Sm 0.083 0.750 0.333
Sm2 Sm 0.417 0.750 0.667
Sm3 Sm 0.583 0.250 0.333
Sm4 Sm 0.917 0.250 0.667
Y1 Y 0.010 0.332 0.342
Y2 Y 0.157 0.831 0.988
Y3 Y 0.175 0.166 0.341
Y4 Y 0.325 0.666 0.991
Y5 Y 0.343 0.331 0.674
Y6 Y 0.490 0.832 0.322
Y7 Y 0.510 0.168 0.678
Y8 Y 0.657 0.669 0.326
Y9 Y 0.675 0.334 0.009
Y10 Y 0.825 0.834 0.659
Y11 Y 0.843 0.169 0.012
Y12 Y 0.990 0.668 0.658
```

Peak list (6 most intense, 10° ≤ 2θ ≤ 90°, by angle)
| 2θ (°) | I_rel |
| --- | --- |
| 31.08 | 32.1 |
| 31.48 | 69.0 |
| 31.63 | 100.0 |
| 44.95 | 25.4 |
| 55.58 | 23.5 |
| 62.83 | 17.5 |

---

[5]
Diffraction record for BaLiBi3. The powder diffractogram is calculated, not measured: it uses DFT lattice parameters and positions (GGA-PBE) and CuKα.
No peak broadening, texture or thermal motion is included.

Structural model:
```
data_BaLiBi3
_symmetry_space_group_name_H-M 'P 1'
_symmetry_Int_Tables_number 1
_cell_length_a 6.810
_cell_length_b 7.114
_cell_length_c 6.979
_cell_angle_alpha 90.00
_cell_angle_beta 90.09
_cell_angle_gamma 90.00
loop_
_symmetry_equiv_pos_as_xyz
'x,y,z'
loop_
_atom_site_label
_atom_site_type_symbol
_atom_site_fract_x
_atom_site_fract_y
_atom_site_fract_z
Ba1 Ba 0.000 0.000 0.000
Ba2 Ba 0.426 0.500 0.501
Li1 Li 0.583 0.000 0.702
Li2 Li 0.842 0.500 0.202
Bi1 Bi 0.127 0.500 0.898
Bi2 Bi 0.298 0.000 0.398
Bi3 Bi 0.503 0.251 0.043
Bi4 Bi 0.503 0.749 0.043
Bi5 Bi 0.922 0.249 0.542
Bi6 Bi 0.922 0.751 0.542
```

Peak list (6 most intense, 10° ≤ 2θ ≤ 90°, by angle)
| 2θ (°) | I_rel |
| --- | --- |
| 18.20 | 27.5 |
| 25.53 | 33.5 |
| 31.13 | 100.0 |
| 36.06 | 18.1 |
| 36.88 | 21.1 |
| 48.63 | 17.4 |

---

[6]
Diffraction record for NaTi6O12. The powder diffractogram is calculated, not measured: it uses DFT lattice parameters and positions (GGA-PBE) and CuKα.
No peak broadening, texture or thermal motion is included.

Structural model:
```
data_NaTi6O12
_symmetry_space_group_name_H-M 'P 1'
_symmetry_Int_Tables_number 1
_cell_length_a 5.866
_cell_length_b 5.869
_cell_length_c 7.294
_cell_angle_alpha 95.71
_cell_angle_beta 96.13
_cell_angle_gamma 119.04
loop_
_symmetry_equiv_pos_as_xyz
'x,y,z'
loop_
_atom_site_label
_atom_site_type_symbol
_atom_site_fract_x
_atom_site_fract_y
_atom_site_fract_z
Na1 Na 0.000 0.000 0.000
Ti1 Ti 0.080 0.569 0.290
Ti2 Ti 0.140 0.136 0.583
Ti3 Ti 0.250 0.704 0.896
Ti4 Ti 0.571 0.074 0.284
Ti5 Ti 0.657 0.652 0.583
Ti6 Ti 0.702 0.260 0.904
O1 O 0.034 0.831 0.715
O2 O 0.044 0.338 0.799
O3 O 0.240 0.959 0.387
O4 O 0.268 0.476 0.472
O5 O 0.381 0.694 0.151
O6 O 0.414 0.099 0.035
O7 O 0.519 0.336 0.717
O8 O 0.567 0.855 0.802
O9 O 0.742 0.454 0.397
O10 O 0.763 0.965 0.465
O11 O 0.875 0.212 0.163
O12 O 0.919 0.605 0.034
```

Peak list (6 most intense, 10° ≤ 2θ ≤ 90°, by angle)
| 2θ (°) | I_rel |
| --- | --- |
| 21.53 | 100.0 |
| 30.60 | 37.6 |
| 30.72 | 41.2 |
| 35.56 | 83.6 |
| 39.90 | 34.5 |
| 51.08 | 35.1 |

---

[7]
Diffraction record for Nb2TlCd2O7. The powder diffractogram is calculated, not measured: it uses DFT lattice parameters and positions (GGA-PBE) and CuKα.
No peak broadening, texture or thermal motion is included.

Structural model:
```
data_Nb2TlCd2O7
_symmetry_space_group_name_H-M 'P 1'
_symmetry_Int_Tables_number 1
_cell_length_a 9.730
_cell_length_b 9.730
_cell_length_c 9.730
_cell_angle_alpha 156.97
_cell_angle_beta 41.71
_cell_angle_gamma 145.71
loop_
_symmetry_equiv_pos_as_xyz
'x,y,z'
loop_
_atom_site_label
_atom_site_type_symbol
_atom_site_fract_x
_atom_site_fract_y
_atom_site_fract_z
Nb1 Nb 0.105 0.000 0.105
Nb2 Nb 0.895 0.000 0.895
Tl1 Tl 0.531 0.031 0.500
Cd1 Cd 0.258 0.487 0.771
Cd2 Cd 0.716 0.487 0.229
O1 O 0.029 0.423 0.606
O2 O 0.095 0.883 0.212
O3 O 0.207 0.319 0.888
O4 O 0.430 0.319 0.112
O5 O 0.671 0.883 0.788
O6 O 0.817 0.423 0.394
O7 O 0.899 0.899 0.000
```

Peak list (6 most intense, 10° ≤ 2θ ≤ 90°, by angle)
| 2θ (°) | I_rel |
| --- | --- |
| 21.33 | 21.3 |
| 27.27 | 41.8 |
| 29.07 | 66.2 |
| 29.46 | 100.0 |
| 31.18 | 39.8 |
| 41.87 | 36.8 |

---

[8]
Diffraction record for Er2Sc2ZnGa4. The powder diffractogram is calculated, not measured: it uses DFT lattice parameters and positions (GGA-PBE) and CuKα.
No peak broadening, texture or thermal motion is included.

Structural model:
```
data_Er2Sc2ZnGa4
_symmetry_space_group_name_H-M 'P 1'
_symmetry_Int_Tables_number 1
_cell_length_a 6.442
_cell_length_b 6.442
_cell_length_c 6.442
_cell_angle_alpha 116.89
_cell_angle_beta 116.89
_cell_angle_gamma 95.47
loop_
_symmetry_equiv_pos_as_xyz
'x,y,z'
loop_
_atom_site_label
_atom_site_type_symbol
_atom_site_fract_x
_atom_site_fract_y
_atom_site_fract_z
Er1 Er 0.194 0.194 0.000
Er2 Er 0.806 0.806 0.000
Sc1 Sc 0.250 0.750 0.500
Sc2 Sc 0.750 0.250 0.500
Zn1 Zn 0.500 0.500 0.000
Ga1 Ga 0.250 0.250 0.499
Ga2 Ga 0.250 0.750 0.000
Ga3 Ga 0.750 0.250 0.000
Ga4 Ga 0.750 0.750 0.501
```

Peak list (6 most intense, 10° ≤ 2θ ≤ 90°, by angle)
| 2θ (°) | I_rel |
| --- | --- |
| 18.61 | 46.0 |
| 33.71 | 100.0 |
| 37.74 | 50.7 |
| 43.38 | 28.8 |
| 54.44 | 17.2 |
| 65.58 | 28.2 |

---

[9]
Diffraction record for Er3NiSn. The powder diffractogram is calculated, not measured: it uses DFT lattice parameters and positions (GGA-PBE) and CuKα.
No peak broadening, texture or thermal motion is included.

Structural model:
```
data_Er3NiSn
_symmetry_space_group_name_H-M 'P 1'
_symmetry_Int_Tables_number 1
_cell_length_a 4.609
_cell_length_b 6.612
_cell_length_c 8.382
_cell_angle_alpha 90.00
_cell_angle_beta 90.00
_cell_angle_gamma 90.00
loop_
_symmetry_equiv_pos_as_xyz
'x,y,z'
loop_
_atom_site_label
_atom_site_type_symbol
_atom_site_fract_x
_atom_site_fract_y
_atom_site_fract_z
Er1 Er 0.250 0.000 0.155
Er2 Er 0.250 0.250 0.581
Er3 Er 0.250 0.500 0.155
Er4 Er 0.750 0.000 0.845
Er5 Er 0.750 0.500 0.845
Er6 Er 0.750 0.750 0.419
Ni1 Ni 0.250 0.250 0.899
Ni2 Ni 0.750 0.750 0.101
Sn1 Sn 0.250 0.750 0.657
Sn2 Sn 0.750 0.250 0.343
```

Peak list (6 most intense, 10° ≤ 2θ ≤ 90°, by angle)
| 2θ (°) | I_rel |
| --- | --- |
| 28.79 | 84.5 |
| 29.04 | 39.6 |
| 35.08 | 100.0 |
| 39.09 | 35.5 |
| 42.36 | 21.0 |
| 55.61 | 19.6 |

---

[10]
Diffraction record for YTm4Co. The powder diffractogram is calculated, not measured: it uses DFT lattice parameters and positions (GGA-PBE) and CuKα.
No peak broadening, texture or thermal motion is included.

Structural model:
```
data_YTm4Co
_symmetry_space_group_name_H-M 'P 1'
_symmetry_Int_Tables_number 1
_cell_length_a 9.162
_cell_length_b 9.162
_cell_length_c 9.162
_cell_angle_alpha 143.57
_cell_angle_beta 133.58
_cell_angle_gamma 60.40
loop_
_symmetry_equiv_pos_as_xyz
'x,y,z'
loop_
_atom_site_label
_atom_site_type_symbol
_atom_site_fract_x
_atom_site_fract_y
_atom_site_fract_z
Y1 Y 0.198 0.198 0.000
Y2 Y 0.802 0.802 0.000
Tm1 Tm 0.129 0.382 0.747
Tm2 Tm 0.225 0.000 0.225
Tm3 Tm 0.328 0.828 0.500
Tm4 Tm 0.365 0.618 0.747
Tm5 Tm 0.635 0.382 0.253
Tm6 Tm 0.672 0.172 0.500
Tm7 Tm 0.775 0.000 0.775
Tm8 Tm 0.871 0.618 0.253
Co1 Co 0.500 0.300 0.800
Co2 Co 0.500 0.700 0.200
```

Peak list (6 most intense, 10° ≤ 2θ ≤ 90°, by angle)
| 2θ (°) | I_rel |
| --- | --- |
| 27.14 | 18.2 |
| 31.23 | 37.5 |
| 32.30 | 53.9 |
| 33.91 | 100.0 |
| 41.85 | 23.4 |
| 62.57 | 21.1 |

---

[11]
Diffraction record for Cs2UCuS4. The powder diffractogram is calculated, not measured: it uses DFT lattice parameters and positions (GGA-PBE) and CuKα.
No peak broadening, texture or thermal motion is included.

Structural model:
```
data_Cs2UCuS4
_symmetry_space_group_name_H-M 'P 1'
_symmetry_Int_Tables_number 1
_cell_length_a 7.151
_cell_length_b 7.151
_cell_length_c 7.151
_cell_angle_alpha 116.54
_cell_angle_beta 116.54
_cell_angle_gamma 96.10
loop_
_symmetry_equiv_pos_as_xyz
'x,y,z'
loop_
_atom_site_label
_atom_site_type_symbol
_atom_site_fract_x
_atom_site_fract_y
_atom_site_fract_z
Cs1 Cs 0.000 0.000 0.000
Cs2 Cs 0.750 0.250 0.500
U1 U 0.500 0.500 0.000
Cu1 Cu 0.250 0.750 0.500
S1 S 0.246 0.630 0.136
S2 S 0.370 0.507 0.616
S3 S 0.493 0.109 0.864
S4 S 0.891 0.754 0.384
```

Peak list (6 most intense, 10° ≤ 2θ ≤ 90°, by angle)
| 2θ (°) | I_rel |
| --- | --- |
| 14.99 | 16.4 |
| 23.66 | 42.6 |
| 25.05 | 100.0 |
| 33.70 | 22.4 |
| 42.45 | 47.5 |
| 44.94 | 24.9 |

---

[12]
Diffraction record for PrHfO4. The powder diffractogram is calculated, not measured: it uses DFT lattice parameters and positions (GGA-PBE) and CuKα.
No peak broadening, texture or thermal motion is included.

Structural model:
```
data_PrHfO4
_symmetry_space_group_name_H-M 'P 1'
_symmetry_Int_Tables_number 1
_cell_length_a 7.698
_cell_length_b 7.698
_cell_length_c 10.773
_cell_angle_alpha 90.00
_cell_angle_beta 90.00
_cell_angle_gamma 90.00
loop_
_symmetry_equiv_pos_as_xyz
'x,y,z'
loop_
_atom_site_label
_atom_site_type_symbol
_atom_site_fract_x
_atom_site_fract_y
_atom_site_fract_z
Pr1 Pr 0.004 0.246 0.000
Pr2 Pr 0.246 0.996 0.250
Pr3 Pr 0.253 0.496 0.254
Pr4 Pr 0.496 0.747 0.504
Pr5 Pr 0.504 0.253 0.004
Pr6 Pr 0.747 0.504 0.754
Pr7 Pr 0.754 0.004 0.750
Pr8 Pr 0.996 0.754 0.500
Hf1 Hf 0.000 0.241 0.500
Hf2 Hf 0.000 0.759 0.000
Hf3 Hf 0.241 0.000 0.750
Hf4 Hf 0.259 0.501 0.755
Hf5 Hf 0.499 0.259 0.505
Hf6 Hf 0.501 0.741 0.005
Hf7 Hf 0.741 0.499 0.255
Hf8 Hf 0.759 0.000 0.250
O1 O 0.019 0.969 0.876
O2 O 0.020 0.479 0.626
O3 O 0.031 0.019 0.626
O4 O 0.052 0.552 0.877
O5 O 0.212 0.289 0.628
O6 O 0.242 0.245 0.843
O7 O 0.245 0.758 0.093
O8 O 0.246 0.746 0.377
O9 O 0.254 0.246 0.127
O10 O 0.255 0.258 0.411
O11 O 0.258 0.745 0.661
O12 O 0.289 0.788 0.878
O13 O 0.448 0.052 0.627
O14 O 0.469 0.518 0.878
O15 O 0.479 0.980 0.876
O16 O 0.482 0.469 0.628
O17 O 0.518 0.531 0.128
O18 O 0.521 0.020 0.376
O19 O 0.531 0.482 0.378
O20 O 0.552 0.948 0.127
O21 O 0.711 0.212 0.378
O22 O 0.742 0.255 0.161
O23 O 0.745 0.742 0.911
O24 O 0.746 0.754 0.627
O25 O 0.754 0.254 0.877
O26 O 0.755 0.242 0.593
O27 O 0.758 0.755 0.343
O28 O 0.788 0.711 0.128
O29 O 0.948 0.448 0.377
O30 O 0.969 0.981 0.126
O31 O 0.980 0.521 0.126
O32 O 0.981 0.031 0.376
```

Peak list (6 most intense, 10° ≤ 2θ ≤ 90°, by angle)
| 2θ (°) | I_rel |
| --- | --- |
| 28.50 | 100.0 |
| 32.91 | 22.4 |
| 47.23 | 16.4 |
| 47.50 | 32.7 |
| 56.09 | 29.8 |
| 56.56 | 14.7 |